Diffraction record for Zr5H2Pb2. The PXRD pattern is simulated, not measured: it uses DFT lattice parameters and positions (PBE) and Cu Kα (λ = 1.5418 Å).
Kinematic intensities with the Lorentz-polarization factor, no thermal factor.

Peak list (12 most intense, 10 to 90 degrees two-theta, by angle)
two_theta  d_spacing  intensity  index
34.0  2.639  100  1 1 2
34.7  2.587  93  3 1 -1
36.4  2.471  41  2 0 -3
36.7  2.449  44  4 0 1
45.9  1.978  22  0 2 0
51.6  1.771  14  2 0 4
59.9  1.544  19  2 2 -3
60.1  1.539  19  4 2 1
63.5  1.466  15  1 1 -5
63.9  1.457  15  5 1 3
64.8  1.439  15  5 1 -4
65.2  1.431  14  7 1 0

Structural model:
```
data_Zr5H2Pb2
_chemical_formula_sum 'Zr10 H4 Pb4'
_cell_length_a 10.8228
_cell_length_b 3.9553
_cell_length_c 7.8943
_cell_angle_alpha 90.00
_cell_angle_beta 97.07
_cell_angle_gamma 90.00
_space_group_name_H-M_alt 'C 1 2/m 1'
_space_group_IT_number 12
loop_
_space_group_symop_operation_xyz
'x,y,z'
'-x,-y,-z'
'-x,y,-z'
'x,-y,z'
'x+1/2,y+1/2,z'
'-x+1/2,-y+1/2,-z'
'-x+1/2,y+1/2,-z'
'x+1/2,-y+1/2,z'
loop_
_atom_site_label
_atom_site_fract_x
_atom_site_fract_y
_atom_site_fract_z
Zr1 0.0000 0.0000 0.0000
Zr2 0.1376 0.0000 0.4366
Zr3 0.2067 0.5000 0.1442
H1 0.1527 0.0000 0.1786
Pb1 0.0774 0.5000 0.7269
```

Diffraction record for H3Pd4. The PXRD pattern is simulated, not measured: it uses DFT lattice parameters and positions (PBE) and Cu Kα (λ = 1.5418 Å).
Kinematic intensities with the Lorentz-polarization factor, no thermal factor.

Peak list (12 most intense, 10 to 90 degrees two-theta, by angle)
two_theta  d_spacing  intensity  index
36.9  2.436  52  2 0 -2
37.7  2.388  100  1 1 1
38.4  2.346  48  4 0 0
43.4  2.085  33  2 0 2
43.9  2.061  64  3 1 -1
62.5  1.487  21  1 1 -3
63.9  1.457  21  0 2 0
64.5  1.445  20  5 1 1
75.6  1.257  12  5 1 -3
75.8  1.254  12  3 1 3
76.2  1.250  12  2 2 -2
77.1  1.237  12  4 2 0

Structural model:
```
data_H3Pd4
_chemical_formula_sum 'H6 Pd8'
_cell_length_a 9.5491
_cell_length_b 2.9127
_cell_length_c 5.1868
_cell_angle_alpha 90.00
_cell_angle_beta 100.61
_cell_angle_gamma 90.00
_space_group_name_H-M_alt 'C 1 2/m 1'
_space_group_IT_number 12
loop_
_space_group_symop_operation_xyz
'x,y,z'
'-x,-y,-z'
'-x,y,-z'
'x,-y,z'
'x+1/2,y+1/2,z'
'-x+1/2,-y+1/2,-z'
'-x+1/2,y+1/2,-z'
'x+1/2,-y+1/2,z'
loop_
_atom_site_label
_atom_site_fract_x
_atom_site_fract_y
_atom_site_fract_z
H1 0.0000 0.0000 0.0000
H2 0.1771 0.5000 0.5806
Pd1 0.1213 0.0000 0.3715
Pd2 0.1245 0.5000 0.8916
```